Diffraction record for V2CoH4O8. The X-ray powder pattern is computed, not measured: it uses the GGA+U geometry in Alexandria and Cu Kα.

Top 10 peaks for 2θ from 5° to 70°, by angle:
| Position (°2θ) | Rel. int. | h k l |
| --- | --- | --- |
| 17.27 | 66.1 | 1 0 1 |
| 21.59 | 50.0 | 1 0 2 |
| 22.16 | 100.0 | 0 2 2 |
| 25.74 | 30.9 | 0 3 1 |
| 27.20 | 55.9 | 1 2 2 |
| 32.05 | 15.2 | 1 2 3 |
| 32.34 | 25.5 | 2 0 1 |
| 42.38 | 20.4 | 1 3 4 |
| 50.53 | 14.8 | 1 5 3 |
| 51.61 | 14.1 | 3 2 1 |

Structural model:
Cell: 5.6917 10.8489 11.9180 Å, 90.00 90.00 90.00°
Space group Pnma (No. 62)
Unique sites:
V 0.1883 0.0304 0.1748 (multiplicity 8)
Co 0.0216 0.7500 0.0392 (multiplicity 4)
H 0.0514 0.7500 0.4244 (multiplicity 4)
H 0.1097 0.1780 0.4013 (multiplicity 8)
H 0.1605 0.7500 0.2993 (multiplicity 4)
O 0.0051 0.5700 0.7080 (multiplicity 8)
O 0.1094 0.1151 0.0645 (multiplicity 8)
O 0.1479 0.2500 0.4489 (multiplicity 4)
O 0.1610 0.6207 0.1452 (multiplicity 8)
O 0.1963 0.7500 0.3793 (multiplicity 4)